Structure and simulated X-ray diffraction stick pattern of Na2Si3O7 (a GGA-PBE-relaxed structure; Cu Ka).
Peak positions follow from Bragg's law for the DFT cell and can differ from measured ones.

Cell and atoms:
abc: 9.011 4.905 11.709
angles: 90.00 102.24 90.00
Space group C2/c (No. 15)
Unique sites:
Na 0.146 0.207 0.182 (multiplicity 8)
Si 0.043 0.283 0.885 (multiplicity 8)
Si 0.250 0.250 0.500 (multiplicity 4)
O 0.000 0.147 0.750 (multiplicity 4)
O 0.123 0.367 0.589 (multiplicity 8)
O 0.135 0.045 0.963 (multiplicity 8)
O 0.141 0.438 0.373 (multiplicity 8)

Top 10 peaks for 2θ from 10° to 90°, low angle first:
- hkl 0 0 2, 15.5°, I 30
- hkl 2 0 -2, 22.7°, I 24
- hkl 1 1 1, 22.9°, I 45
- hkl 1 1 3, 33.0°, I 94
- hkl 2 0 -4, 33.5°, I 39
- hkl 3 1 -1, 35.1°, I 100
- hkl 1 1 4, 39.6°, I 44
- hkl 2 2 -4, 50.5°, I 18
- hkl 4 2 2, 61.3°, I 22
- hkl 5 1 -5, 62.3°, I 23